1.
This entry pairs a crystal structure of ErMg2H6 with its theoretical PXRD pattern. Radiation: Cu Kα X-rays. Structure: DFT lattice parameters and positions (PBE).
Neutral-atom scattering factors, no anomalous dispersion.

Cell and atoms:
Cell: 3.500 3.500 7.887 Å, 90.00 90.00 90.00°
Space group P4/mmm (No. 123)
One atom of each set of equivalent atoms:
1 Er 0.000 0.000 0.000 [1 per cell]
2 Mg 0.500 0.500 0.278 [2 per cell]
3 H 0.000 0.500 0.184 [4 per cell]
4 H 0.500 0.500 0.000 [1 per cell]
5 H 0.500 0.500 0.500 [1 per cell]

Largest 8 diffraction maxima, low angle first, 10 to 90 degrees two-theta:
2theta  I/Imax  h k l
11.22  100  0 0 1
25.45  15  1 0 0
27.89  59  1 0 1
34.25  51  1 0 2
36.29  22  1 1 0
38.11  20  1 1 1
50.65  14  1 1 3
63.96  23  2 1 2

2.
This entry pairs a crystal structure of TmGeHO4 with its theoretical PXRD pattern. Radiation: Cu Kα X-rays. Structure: DFT lattice parameters and positions (PBE).
Neutral-atom scattering factors, no anomalous dispersion.

Cell and atoms:
Cell: 5.134 11.426 4.743 Å, 90.00 90.00 90.00°
Space group Pbcn (No. 60)
One atom of each set of equivalent atoms:
1 Tm 0.000 0.119 0.250 [4 per cell]
2 Ge 0.000 0.393 0.250 [4 per cell]
3 H 0.000 0.297 0.750 [4 per cell]
4 O 0.124 0.296 0.526 [8 per cell]
5 O 0.236 0.040 0.585 [8 per cell]

Largest 8 diffraction maxima, low angle first, 10 to 90 degrees two-theta:
2theta  I/Imax  h k l
24.39  19  0 2 1
26.75  91  1 1 1
31.31  26  0 4 0
34.91  100  2 0 0
47.62  34  2 4 0
49.99  22  0 4 2
52.54  20  2 0 2
62.45  18  2 4 2

3.
This entry pairs a crystal structure of Pr2FeCuGe2 with its theoretical PXRD pattern. Radiation: Cu Kα X-rays. Structure: DFT lattice parameters and positions (PBE).
Neutral-atom scattering factors, no anomalous dispersion.

Cell and atoms:
Cell: 4.2900 4.2900 8.0235 Å, 90.00 90.00 120.00°
Space group P-6m2 (No. 187)
One atom of each set of equivalent atoms:
1 Pr 0.0000 0.0000 0.2484 [2 per cell]
2 Fe 0.6667 0.3333 0.0000 [1 per cell]
3 Cu 0.3333 0.6667 0.5000 [1 per cell]
4 Ge 0.3333 0.6667 0.0000 [1 per cell]
5 Ge 0.6667 0.3333 0.5000 [1 per cell]

Largest 8 diffraction maxima, low angle first, 10 to 90 degrees two-theta:
2theta  I/Imax  h k l
23.95  13  1 0 0
32.86  100  1 0 2
42.13  44  1 1 0
45.20  12  0 0 4
54.43  23  2 0 2
63.50  25  1 1 4
71.13  21  2 1 2
75.57  9  1 0 6

4.
This entry pairs a crystal structure of Gd2Lu3Ga3 with its theoretical PXRD pattern. Radiation: Cu Kα X-rays. Structure: DFT lattice parameters and positions (PBE).
Neutral-atom scattering factors, no anomalous dispersion.

Cell and atoms:
Cell: 6.8717 6.8717 4.8727 Å, 90.00 90.00 120.00°
Space group P-6m2 (No. 187)
One atom of each set of equivalent atoms:
1 Gd 0.0000 0.0000 0.0000 [1 per cell]
2 Gd 0.3333 0.6667 0.5000 [1 per cell]
3 Lu 0.3543 0.1772 0.5000 [3 per cell]
4 Ga 0.5222 0.0444 0.0000 [3 per cell]

Largest 8 diffraction maxima, low angle first, 10 to 90 degrees two-theta:
2theta  I/Imax  h k l
30.03  31  2 0 0
35.34  100  2 0 1
36.89  20  0 0 2
48.28  17  2 0 2
53.33  18  2 2 0
65.47  17  2 0 3
65.61  14  4 0 1
66.61  18  2 2 2

5.
This entry pairs a crystal structure of La2Hf3Cd2 with its theoretical PXRD pattern. Radiation: Cu Kα X-rays. Structure: DFT lattice parameters and positions (PBE).
Neutral-atom scattering factors, no anomalous dispersion.

Cell and atoms:
Cell: 5.2210 5.2210 23.3027 Å, 90.00 90.00 120.00°
Space group R3m (No. 160, hexagonal axes)
One atom of each set of equivalent atoms:
1 La 0.0000 0.0000 0.0000 [3 per cell]
2 La 0.0000 0.0000 0.4416 [3 per cell]
3 Hf 0.0000 0.0000 0.2649 [3 per cell]
4 Hf 0.0000 0.0000 0.5881 [3 per cell]
5 Hf 0.0000 0.0000 0.8659 [3 per cell]
6 Cd 0.0000 0.0000 0.1444 [3 per cell]
7 Cd 0.0000 0.0000 0.7238 [3 per cell]

Largest 8 diffraction maxima, low angle first, 10 to 90 degrees two-theta:
2theta  I/Imax  h k l
11.39  14  0 0 3
33.43  80  1 0 7
34.35  100  1 1 0
48.69  28  0 2 7
60.94  28  2 1 7
61.53  18  3 0 0
72.40  11  2 2 0
82.13  12  1 3 7

6.
This entry pairs a crystal structure of Nd4C2Br2Cl3 with its theoretical PXRD pattern. Radiation: Cu Kα X-rays. Structure: DFT lattice parameters and positions (PBE).
Neutral-atom scattering factors, no anomalous dispersion.

Cell and atoms:
Cell: 19.472 3.903 7.905 Å, 90.00 112.22 90.00°
Space group C2/m (No. 12)
One atom of each set of equivalent atoms:
1 Nd 0.002 0.000 0.291 [4 per cell]
2 Nd 0.164 0.500 0.657 [4 per cell]
3 C 0.039 0.500 0.538 [4 per cell]
4 Br 0.164 0.000 0.943 [4 per cell]
5 Cl 0.000 0.500 0.000 [2 per cell]
6 Cl 0.167 0.000 0.394 [4 per cell]

Largest 8 diffraction maxima, low angle first, 10 to 90 degrees two-theta:
2theta  I/Imax  h k l
12.36  62  2 0 -1
27.24  36  3 1 0
27.46  36  3 1 -1
29.74  100  6 0 0
32.53  75  1 1 -2
32.74  74  3 1 -2
40.59  32  3 1 2
56.21  32  6 2 0